Diffraction record for AlTl5F8. The powder diffraction line list is simulated, not measured: it uses a DFT-relaxed cell (PBE, Alexandria) and Cu Kα X-rays.
No peak broadening, texture or thermal motion is included.

Atomic structure:
Cell: 9.530 9.530 8.600 Å, 90.00 90.00 90.00°
Space group I-4 (No. 82)
Asymmetric unit:
Al 0.000 0.000 0.000 x2
Tl 0.000 0.500 0.750 x2
Tl 0.173 0.754 0.377 x8
F 0.008 0.264 0.579 x8
F 0.038 0.856 0.110 x8

Largest 12 diffraction maxima, in order of rising 2θ, 2θ from 10° to 80°:
index	2theta	intensity
2 0 0	18.6	21.6
2 1 1	23.3	100.0
1 1 2	24.6	88.9
2 2 0	26.5	23.4
3 0 1	30.0	26.2
3 2 1	35.5	22.8
3 1 2	36.4	28.0
4 0 0	37.8	23.2
1 4 1	40.4	16.5
2 0 4	46.3	21.5
2 3 3	46.7	29.9
4 3 1	48.9	24.3